# 1
Structure and calculated powder XRD pattern of Na2AgAsCl6 (a structure optimized by DFT (GGA-PBE); CuKα).
Lines closer than 0.1° are merged.

Structure:
Unit cell a=10.318 b=10.318 c=10.318 alpha=90.00 beta=90.00 gamma=90.00
Space group Fm-3m (No. 225)
One atom of each set of equivalent atoms:
Na1 0.250 0.250 0.250 x8
Ag1 0.000 0.000 0.000 x4
As1 0.000 0.000 0.500 x4
Cl1 0.000 0.000 0.258 x24

Main lines, most intense first (2θ from 15° to 90°):
d [Å]  2θ/deg  I_rel  h k l
5.159  17.2  100  2 0 0
2.580  34.8  73  4 0 0
3.648  24.4  49  2 2 0
1.824  50.0  47  4 4 0
2.307  39.0  46  4 2 0
2.106  42.9  23  4 2 2
1.720  53.3  22  6 0 0
1.154  83.9  19  8 4 0


# 2
Structure and calculated powder XRD pattern of Rb2AgAsCl6 (a structure optimized by DFT (GGA-PBE); CuKα).
Lines closer than 0.1° are merged.

Structure:
Unit cell a=10.464 b=10.464 c=10.464 alpha=90.00 beta=90.00 gamma=90.00
Space group Fm-3m (No. 225)
One atom of each set of equivalent atoms:
Rb1 0.250 0.250 0.250 x8
Ag1 0.000 0.000 0.000 x4
As1 0.000 0.000 0.500 x4
Cl1 0.000 0.000 0.259 x24

Main lines, most intense first (2θ from 15° to 90°):
d [Å]  2θ/deg  I_rel  h k l
3.700  24.1  100  2 2 0
2.616  34.3  79  4 0 0
1.850  49.3  52  4 4 0
2.136  42.3  45  4 2 2
1.398  66.9  23  6 4 2
1.170  82.4  22  8 4 0
1.655  55.5  21  6 2 0
3.021  29.6  19  2 2 2


# 3
Structure and calculated powder XRD pattern of Cs2AgAsF6 (a structure optimized by DFT (GGA-PBE); CuKα).
Lines closer than 0.1° are merged.

Structure:
Unit cell a=9.195 b=9.195 c=9.195 alpha=90.00 beta=90.00 gamma=90.00
Space group Fm-3m (No. 225)
One atom of each set of equivalent atoms:
Cs1 0.250 0.250 0.250 x8
Ag1 0.000 0.000 0.000 x4
As1 0.000 0.000 0.500 x4
F1 0.000 0.000 0.273 x24

Main lines, most intense first (2θ from 15° to 90°):
d [Å]  2θ/deg  I_rel  h k l
3.251  27.4  100  2 2 0
1.877  48.5  40  4 2 2
2.299  39.2  35  4 0 0
1.626  56.6  22  4 4 0
1.229  77.7  22  6 4 2
1.454  64.0  19  6 2 0
2.654  33.8  8  2 2 2
1.327  71.0  7  4 4 4


# 4
Structure and calculated powder XRD pattern of Cs2AgAsS4 (a structure optimized by DFT (GGA-PBE); CuKα).
Lines closer than 0.1° are merged.

Structure:
Unit cell a=6.934 b=7.353 c=11.343 alpha=73.16 beta=74.44 gamma=71.13
Space group P-1 (No. 2)
One atom of each set of equivalent atoms:
Cs1 0.230 0.260 0.096 x2
Cs2 0.262 0.014 0.689 x2
Ag1 0.138 0.582 0.578 x2
As1 0.360 0.635 0.269 x2
S1 0.242 0.854 0.386 x2
S2 0.246 0.758 0.094 x2
S3 0.257 0.368 0.380 x2
S4 0.295 0.449 0.771 x2

Main lines, most intense first (2θ from 15° to 90°):
d [Å]  2θ/deg  I_rel  h k l
3.592  24.8  100  1 2 1
3.852  23.1  95  1 -1 1
3.219  27.7  94  2 0 0
3.763  23.6  89  1 0 -2
3.258  27.4  74  2 1 2
2.892  30.9  62  0 1 -3
2.801  32.0  56  1 1 4
2.970  30.1  53  1 2 -1


# 5
Structure and calculated powder XRD pattern of CuAgAs2H3O8 (a structure optimized by DFT (GGA-PBE); CuKα).
Lines closer than 0.1° are merged.

Structure:
Unit cell a=9.396 b=7.871 c=9.868 alpha=90.00 beta=104.10 gamma=90.00
Space group P2_1/c (No. 14)
One atom of each set of equivalent atoms:
Cu1 0.094 0.182 0.005 x4
Ag1 0.267 0.733 0.508 x4
As1 0.029 0.507 0.204 x4
As2 0.431 0.186 0.174 x4
H1 0.206 0.006 0.266 x4
H2 0.434 0.162 0.476 x4
H3 0.435 0.058 0.845 x4
O1 0.064 0.690 0.122 x4
O2 0.076 0.523 0.384 x4
O3 0.121 0.164 0.661 x4
O4 0.165 0.524 0.848 x4
O5 0.276 0.063 0.123 x4
O6 0.418 0.573 0.351 x4
O7 0.430 0.130 0.575 x4
O8 0.467 0.243 0.842 x4

Main lines, most intense first (2θ from 15° to 90°):
d [Å]  2θ/deg  I_rel  h k l
3.024  29.5  100  1 2 -2
2.834  31.6  100  3 1 0
3.040  29.4  76  0 2 2
3.794  23.4  71  2 0 -2
3.470  25.7  63  1 1 2
2.725  32.9  56  3 1 -2
3.613  24.6  41  1 2 0
3.941  22.6  40  0 2 0


# 6
Structure and calculated powder XRD pattern of CuAgAs2O8 (a structure optimized by DFT (GGA-PBE); CuKα).
Lines closer than 0.1° are merged.

Structure:
Unit cell a=9.148 b=7.558 c=9.573 alpha=90.00 beta=105.17 gamma=90.00
Space group P2_1/c (No. 14)
One atom of each set of equivalent atoms:
Cu1 0.110 0.180 0.004 x4
Ag1 0.296 0.750 0.010 x4
As1 0.015 0.009 0.690 x4
As2 0.444 0.208 0.168 x4
O1 0.057 0.692 0.113 x4
O2 0.078 0.519 0.379 x4
O3 0.139 0.171 0.663 x4
O4 0.174 0.548 0.865 x4
O5 0.289 0.062 0.105 x4
O6 0.390 0.614 0.353 x4
O7 0.413 0.094 0.578 x4
O8 0.473 0.239 0.850 x4

Main lines, most intense first (2θ from 15° to 90°):
d [Å]  2θ/deg  I_rel  h k l
2.926  30.5  100  0 2 2
3.714  24.0  62  2 0 -2
3.333  26.7  60  1 1 2
2.660  33.7  52  2 1 2
3.474  25.6  51  1 2 0
2.742  32.7  45  3 1 0
2.210  40.8  34  2 1 -4
2.271  39.7  30  3 2 -2